For PrBe4Sn3O12, a PBE-relaxed structure gives the calculated powder diffractogram in this record (copper Kα).
Neutral-atom scattering factors, no anomalous dispersion.

Structural model:
Lattice parameters (Å, degrees): 6.464 6.464 6.464 104.78 104.78 104.78
Element x y z (fractional)
Pr1 0.000 0.000 0.000
Be1 0.060 0.500 0.940
Be2 0.500 0.500 0.500
Be3 0.500 0.940 0.060
Be4 0.940 0.060 0.500
Sn1 0.000 0.554 0.446
Sn2 0.446 0.000 0.554
Sn3 0.554 0.446 0.000
O1 0.030 0.641 0.783
O2 0.092 0.908 0.500
O3 0.217 0.359 0.970
O4 0.349 0.651 0.500
O5 0.359 0.970 0.217
O6 0.500 0.092 0.908
O7 0.500 0.349 0.651
O8 0.641 0.783 0.030
O9 0.651 0.500 0.349
O10 0.783 0.030 0.641
O11 0.908 0.500 0.092
O12 0.970 0.217 0.359

Principal peaks in the range 10° ≤ 2θ ≤ 90°, sorted by position:
| d_spacing | I/Imax |
| --- | --- |
| 5.120 | 28.4 |
| 3.859 | 100.0 |
| 3.082 | 21.4 |
| 2.936 | 78.3 |
| 2.560 | 22.2 |
| 2.133 | 12.1 |
| 2.083 | 30.3 |
| 1.828 | 23.8 |
| 1.792 | 17.4 |
| 1.420 | 12.9 |